Record 1
Calculated powder XRD pattern
Compound: KNb2PS10
Radiation: Cu Kα, 1.54184 Å
Structure: DFT lattice parameters and positions (GGA-PBE)
Intensities are scaled so that the largest is 100.

The 12 most intense peaks (2θ from 5° to 70°), low angle first:
Position (°2θ), d_spacing, I (rel.), (hkl)
11.6, 7.633, 90, 0 1 0
13.1, 6.762, 100, 0 0 2
13.4, 6.593, 15, 1 1 0
17.5, 5.062, 58, 0 1 2
19.0, 4.663, 17, 2 1 1
23.3, 3.816, 25, 0 2 0
30.8, 2.900, 27, 3 1 3
33.9, 2.648, 34, 4 0 3
35.9, 2.500, 22, 4 1 3
37.1, 2.422, 26, 3 2 3
45.9, 1.975, 17, 3 3 3
53.7, 1.706, 16, 3 3 5

Atomic structure:
```
data_KNb2PS10
_chemical_formula_sum 'K4 Nb8 P4 S40'
_space_group_name_H-M_alt 'P c a 21'
_space_group_IT_number 29
_space_group_name_Hall 'P 2c -2ac'
_cell_length_a 13.0846
_cell_length_b 7.6326
_cell_length_c 13.5246
_cell_angle_alpha 90.00
_cell_angle_beta 90.00
_cell_angle_gamma 90.00
loop_
_atom_site_label
_atom_site_type_symbol
_atom_site_fract_x
_atom_site_fract_y
_atom_site_fract_z
_atom_site_occupancy
K1 K 0.1180 0.0037 0.0000 1
Nb1 Nb 0.0240 0.5528 0.2332 1
Nb2 Nb 0.1863 0.5709 0.7340 1
P1 P 0.1605 0.8989 0.3094 1
S1 S 0.0315 0.8915 0.2207 1
S2 S 0.0514 0.6315 0.8680 1
S3 S 0.0556 0.6488 0.6069 1
S4 S 0.1014 0.3956 0.5977 1
S5 S 0.1094 0.3829 0.8646 1
S6 S 0.1516 0.0825 0.4129 1
S7 S 0.1671 0.6412 0.3636 1
S8 S 0.1693 0.5523 0.1051 1
S9 S 0.1738 0.3418 0.1996 1
S10 S 0.2074 0.9080 0.7267 1
```

Record 2
Calculated powder XRD pattern
Compound: KNbPb
Radiation: Cu Kα, 1.54184 Å
Structure: DFT lattice parameters and positions (GGA-PBE)
Intensities are scaled so that the largest is 100.

The 10 most intense peaks (2θ from 5° to 70°), low angle first:
Position (°2θ), d_spacing, I (rel.), (hkl)
21.3, 4.169, 71, 1 1 1
24.7, 3.610, 23, 2 0 0
35.2, 2.553, 100, 2 2 0
41.5, 2.177, 40, 3 1 1
43.4, 2.084, 7, 2 2 2
50.6, 1.805, 18, 4 0 0
55.5, 1.656, 18, 3 3 1
57.0, 1.614, 10, 4 2 0
63.1, 1.474, 36, 4 2 2
67.4, 1.390, 13, 5 1 1

Atomic structure:
```
data_KNbPb
_chemical_formula_sum 'K4 Nb4 Pb4'
_space_group_name_H-M_alt 'F -4 3 m'
_space_group_IT_number 216
_space_group_name_Hall 'F -4 2 3'
_cell_length_a 7.2202
_cell_length_b 7.2202
_cell_length_c 7.2202
_cell_angle_alpha 90.00
_cell_angle_beta 90.00
_cell_angle_gamma 90.00
loop_
_atom_site_label
_atom_site_type_symbol
_atom_site_fract_x
_atom_site_fract_y
_atom_site_fract_z
_atom_site_occupancy
K1 K 0.0000 0.0000 0.0000 1
Nb1 Nb 0.2500 0.2500 0.2500 1
Pb1 Pb 0.0000 0.0000 0.5000 1
```

Record 3
Calculated powder XRD pattern
Compound: KRbNbSe2S
Radiation: Cu Kα, 1.54184 Å
Structure: DFT lattice parameters and positions (GGA-PBE)
Intensities are scaled so that the largest is 100.

The 12 most intense peaks (2θ from 5° to 70°), low angle first:
Position (°2θ), d_spacing, I (rel.), (hkl)
14.1, 6.274, 30, 1 0 0
15.2, 5.823, 36, 1 0 1
15.3, 5.780, 29, 1 1 1
22.1, 4.022, 25, 0 0 2
25.1, 3.554, 100, 2 1 1
26.3, 3.394, 66, 0 2 1
26.6, 3.357, 61, 0 1 -2
29.2, 3.059, 25, 1 -1 2
32.5, 2.756, 20, 2 1 -1
38.1, 2.361, 19, 2 3 2
40.6, 2.220, 33, 0 3 -1
47.6, 1.911, 20, 2 -2 2

Atomic structure:
```
data_KRbNbSe2S
_chemical_formula_sum 'K2 Rb2 Nb2 Se4 S2'
_space_group_name_H-M_alt 'P -1'
_space_group_IT_number 2
_space_group_name_Hall '-P 1'
_cell_length_a 7.1380
_cell_length_b 7.8243
_cell_length_c 8.6116
_cell_angle_alpha 76.90
_cell_angle_beta 69.80
_cell_angle_gamma 66.50
loop_
_atom_site_label
_atom_site_type_symbol
_atom_site_fract_x
_atom_site_fract_y
_atom_site_fract_z
_atom_site_occupancy
K1 K 0.0920 0.1895 0.1429 1
Rb1 Rb 0.3295 0.5761 0.3084 1
Nb1 Nb 0.3756 0.0542 0.6669 1
Se1 Se 0.1687 0.3774 0.7278 1
Se2 Se 0.3736 0.8233 0.9081 1
S1 S 0.2657 0.9675 0.4735 1
```

Record 4
Calculated powder XRD pattern
Compound: K2Nb2Se5
Radiation: Cu Kα, 1.54184 Å
Structure: DFT lattice parameters and positions (GGA-PBE)
Intensities are scaled so that the largest is 100.

The 12 most intense peaks (2θ from 5° to 70°), low angle first:
Position (°2θ), d_spacing, I (rel.), (hkl)
14.1, 6.287, 20, 1 1 0
14.6, 6.054, 57, 1 1 -1
14.9, 5.944, 39, 0 0 2
27.6, 3.232, 31, 3 1 -1
28.4, 3.139, 18, 3 1 -2
28.8, 3.100, 44, 3 1 0
30.8, 2.907, 100, 1 1 -4
34.7, 2.586, 22, 2 2 2
36.8, 2.445, 23, 1 3 -2
43.0, 2.104, 20, 4 0 2
43.2, 2.095, 22, 1 1 5
45.8, 1.980, 17, 2 2 4

Atomic structure:
```
data_K2Nb2Se5
_chemical_formula_sum 'K8 Nb8 Se20'
_space_group_name_H-M_alt 'C 1 2/c 1'
_space_group_IT_number 15
_space_group_name_Hall '-C 2yc'
_cell_length_a 10.5932
_cell_length_b 8.0385
_cell_length_c 12.4839
_cell_angle_alpha 90.00
_cell_angle_beta 107.78
_cell_angle_gamma 90.00
loop_
_atom_site_label
_atom_site_type_symbol
_atom_site_fract_x
_atom_site_fract_y
_atom_site_fract_z
_atom_site_occupancy
K1 K 0.2143 0.1602 0.3115 1
Nb1 Nb 0.1103 0.3177 0.9546 1
Se1 Se 0.0000 0.2073 0.7500 1
Se2 Se 0.0291 0.3912 0.1174 1
Se3 Se 0.1826 0.0289 0.0350 1
```

Record 5
Calculated powder XRD pattern
Compound: K2Nd2O3
Radiation: Cu Kα, 1.54184 Å
Structure: DFT lattice parameters and positions (GGA-PBE)
Intensities are scaled so that the largest is 100.

The 12 most intense peaks (2θ from 5° to 70°), low angle first:
Position (°2θ), d_spacing, I (rel.), (hkl)
13.9, 6.389, 8, 1 1 0
19.6, 4.518, 47, 2 0 0
27.9, 3.195, 100, 2 2 0
34.4, 2.608, 8, 2 2 2
37.2, 2.415, 5, 3 1 2
39.9, 2.259, 25, 4 0 0
44.9, 2.020, 22, 4 2 0
49.4, 1.844, 38, 4 2 2
57.7, 1.597, 15, 4 4 0
61.6, 1.506, 10, 4 4 2
63.5, 1.466, 4, 5 2 3
65.3, 1.429, 15, 6 2 0

Atomic structure:
```
data_K2Nd2O3
_chemical_formula_sum 'K8 Nd8 O12'
_space_group_name_H-M_alt 'I 21 3'
_space_group_IT_number 199
_space_group_name_Hall 'I 2b 2c 3'
_cell_length_a 9.0358
_cell_length_b 9.0358
_cell_length_c 9.0358
_cell_angle_alpha 90.00
_cell_angle_beta 90.00
_cell_angle_gamma 90.00
loop_
_atom_site_label
_atom_site_type_symbol
_atom_site_fract_x
_atom_site_fract_y
_atom_site_fract_z
_atom_site_occupancy
K1 K 0.0129 0.0129 0.0129 1
Nd1 Nd 0.2391 0.2391 0.2391 1
O1 O 0.0000 0.2500 0.2763 1
```